1.
Structure and calculated powder diffractogram of Zn2SiAg (the PBE geometry in Alexandria; Cu Kα, 1.54184 Å).
Kinematic intensities with the Lorentz-polarization factor, no thermal factor.

Structural model:
```
data_Zn2SiAg
_chemical_formula_sum 'Zn4 Si2 Ag2'
_cell_length_a 3.778
_cell_length_b 4.077
_cell_length_c 8.294
_cell_angle_alpha 90.00
_cell_angle_beta 90.00
_cell_angle_gamma 90.00
_symmetry_space_group_name_H-M 'C m m 2'
_symmetry_Int_Tables_number 35
_symmetry_space_group_name_Hall 'C 2 -2'
loop_
_atom_site_label
_atom_site_type_symbol
_atom_site_fract_x
_atom_site_fract_y
_atom_site_fract_z
_atom_site_occupancy
Zn1 Zn 0.000 0.000 0.000 1
Zn2 Zn 0.000 0.500 0.234 1
Si1 Si 0.000 0.000 0.483 1
Ag1 Ag 0.000 0.500 0.749 1
```

Principal peaks in the range 15 to 90 degrees two-theta, in order of rising 2θ:
two_theta  I (rel.)
21.43  10
39.10  100
43.65  18
44.44  17
48.18  13
64.05  11
77.11  12
78.22  12
83.70  10
84.01  10

=====

2.
Structure and calculated powder diffractogram of SmAg4 (the PBE geometry in Alexandria; Cu Kα, 1.54184 Å).
Kinematic intensities with the Lorentz-polarization factor, no thermal factor.

Structural model:
```
data_SmAg4
_chemical_formula_sum 'Sm4 Ag16'
_cell_length_a 5.753
_cell_length_b 5.761
_cell_length_c 13.267
_cell_angle_alpha 90.00
_cell_angle_beta 90.00
_cell_angle_gamma 90.00
_symmetry_space_group_name_H-M 'F m m m'
_symmetry_Int_Tables_number 69
_symmetry_space_group_name_Hall '-F 2 2'
loop_
_atom_site_label
_atom_site_type_symbol
_atom_site_fract_x
_atom_site_fract_y
_atom_site_fract_z
_atom_site_occupancy
Sm1 Sm 0.000 0.000 0.000 1
Ag1 Ag 0.000 0.000 0.397 1
Ag2 Ag 0.250 0.250 0.250 1
```

Principal peaks in the range 15 to 90 degrees two-theta, in order of rising 2θ:
two_theta  I (rel.)
29.83  39
33.95  100
40.58  44
41.54  21
44.51  43
54.51  14
61.80  25
64.78  14
75.18  19
79.56  15

=====

3.
Structure and calculated powder diffractogram of Sm4Ag (the PBE geometry in Alexandria; Cu Kα, 1.54184 Å).
Kinematic intensities with the Lorentz-polarization factor, no thermal factor.

Structural model:
```
data_Sm4Ag
_chemical_formula_sum 'Sm16 Ag4'
_cell_length_a 6.860
_cell_length_b 15.312
_cell_length_c 5.894
_cell_angle_alpha 90.00
_cell_angle_beta 90.00
_cell_angle_gamma 90.00
_symmetry_space_group_name_H-M 'I b a m'
_symmetry_Int_Tables_number 72
_symmetry_space_group_name_Hall '-I 2 2c'
loop_
_atom_site_label
_atom_site_type_symbol
_atom_site_fract_x
_atom_site_fract_y
_atom_site_fract_z
_atom_site_occupancy
Sm1 Sm 0.149 0.186 0.000 1
Sm2 Sm 0.153 0.417 0.000 1
Ag1 Ag 0.000 0.000 0.250 1
```

Principal peaks in the range 15 to 90 degrees two-theta, in order of rising 2θ:
two_theta  I (rel.)
30.33  17
30.74  100
32.01  22
33.61  8
37.60  12
43.38  10
54.14  20
59.40  16
63.02  14
79.63  8

=====

4.
Structure and calculated powder diffractogram of Sm5Ag2 (the PBE geometry in Alexandria; Cu Kα, 1.54184 Å).
Kinematic intensities with the Lorentz-polarization factor, no thermal factor.

Structural model:
```
data_Sm5Ag2
_chemical_formula_sum 'Sm20 Ag8'
_cell_length_a 15.892
_cell_length_b 7.681
_cell_length_c 6.796
_cell_angle_alpha 90.00
_cell_angle_beta 90.87
_cell_angle_gamma 90.00
_symmetry_space_group_name_H-M 'C 1 2/c 1'
_symmetry_Int_Tables_number 15
_symmetry_space_group_name_Hall '-C 2yc'
loop_
_atom_site_label
_atom_site_type_symbol
_atom_site_fract_x
_atom_site_fract_y
_atom_site_fract_z
_atom_site_occupancy
Sm1 Sm 0.000 0.023 0.250 1
Sm2 Sm 0.091 0.351 0.979 1
Sm3 Sm 0.226 0.041 0.721 1
Ag1 Ag 0.113 0.270 0.484 1
```

Principal peaks in the range 15 to 90 degrees two-theta, in order of rising 2θ:
two_theta  I (rel.)
28.89  51
29.36  69
30.44  80
32.42  89
34.47  80
35.01  40
35.26  100
35.51  39
41.44  29
53.50  28

=====

5.
Structure and calculated powder diffractogram of Sm3Ag5 (the PBE geometry in Alexandria; Cu Kα, 1.54184 Å).
Kinematic intensities with the Lorentz-polarization factor, no thermal factor.

Structural model:
```
data_Sm3Ag5
_chemical_formula_sum 'Sm24 Ag40'
_cell_length_a 6.131
_cell_length_b 17.832
_cell_length_c 14.248
_cell_angle_alpha 90.00
_cell_angle_beta 90.00
_cell_angle_gamma 90.00
_symmetry_space_group_name_H-M 'F d d 2'
_symmetry_Int_Tables_number 43
_symmetry_space_group_name_Hall 'F 2 -2d'
loop_
_atom_site_label
_atom_site_type_symbol
_atom_site_fract_x
_atom_site_fract_y
_atom_site_fract_z
_atom_site_occupancy
Sm1 Sm 0.000 0.000 0.000 1
Sm2 Sm 0.061 0.331 0.993 1
Ag1 Ag 0.000 0.000 0.552 1
Ag2 Ag 0.045 0.334 0.415 1
Ag3 Ag 0.098 0.309 0.607 1
```

Principal peaks in the range 15 to 90 degrees two-theta, in order of rising 2θ:
two_theta  I (rel.)
28.11  79
31.78  75
32.65  100
33.37  28
35.09  33
35.54  44
37.97  93
42.36  54
48.77  21
49.62  29

=====

6.
Structure and calculated powder diffractogram of Sm2Ag5 (the PBE geometry in Alexandria; Cu Kα, 1.54184 Å).
Kinematic intensities with the Lorentz-polarization factor, no thermal factor.

Structural model:
```
data_Sm2Ag5
_chemical_formula_sum 'Sm8 Ag20'
_cell_length_a 7.739
_cell_length_b 13.201
_cell_length_c 6.151
_cell_angle_alpha 90.00
_cell_angle_beta 90.00
_cell_angle_gamma 90.00
_symmetry_space_group_name_H-M 'I b a m'
_symmetry_Int_Tables_number 72
_symmetry_space_group_name_Hall '-I 2 2c'
loop_
_atom_site_label
_atom_site_type_symbol
_atom_site_fract_x
_atom_site_fract_y
_atom_site_fract_z
_atom_site_occupancy
Sm1 Sm 0.184 0.103 0.000 1
Ag1 Ag 0.000 0.281 0.250 1
Ag2 Ag 0.000 0.500 0.250 1
Ag3 Ag 0.221 0.136 0.500 1
```

Principal peaks in the range 15 to 90 degrees two-theta, in order of rising 2θ:
two_theta  I (rel.)
32.05  48
32.90  22
35.45  43
35.76  84
35.94  37
37.35  100
40.07  80
58.32  37
60.17  17
72.01  20

=====

7.
Structure and calculated powder diffractogram of Sm8Ag3Sn2 (the PBE geometry in Alexandria; Cu Kα, 1.54184 Å).
Kinematic intensities with the Lorentz-polarization factor, no thermal factor.

Structural model:
```
data_Sm8Ag3Sn2
_chemical_formula_sum 'Sm16 Ag6 Sn4'
_cell_length_a 10.245
_cell_length_b 15.235
_cell_length_c 5.160
_cell_angle_alpha 90.00
_cell_angle_beta 90.00
_cell_angle_gamma 90.00
_symmetry_space_group_name_H-M 'C m m m'
_symmetry_Int_Tables_number 65
_symmetry_space_group_name_Hall '-C 2 2'
loop_
_atom_site_label
_atom_site_type_symbol
_atom_site_fract_x
_atom_site_fract_y
_atom_site_fract_z
_atom_site_occupancy
Sm1 Sm 0.000 0.119 0.000 1
Sm2 Sm 0.000 0.375 0.000 1
Sm3 Sm 0.246 0.122 0.500 1
Ag1 Ag 0.000 0.500 0.500 1
Ag2 Ag 0.248 0.500 0.000 1
Sn1 Sn 0.000 0.249 0.500 1
```

Principal peaks in the range 15 to 90 degrees two-theta, in order of rising 2θ:
two_theta  I (rel.)
24.49  14
34.09  100
34.77  24
35.03  23
47.76  10
50.19  17
60.42  9
61.90  18
62.24  17
71.79  11

=====

8.
Structure and calculated powder diffractogram of SmAg8Sn3 (the PBE geometry in Alexandria; Cu Kα, 1.54184 Å).
Kinematic intensities with the Lorentz-polarization factor, no thermal factor.

Structural model:
```
data_SmAg8Sn3
_chemical_formula_sum 'Sm1 Ag8 Sn3'
_cell_length_a 5.6961
_cell_length_b 5.6961
_cell_length_c 9.0774
_cell_angle_alpha 90.00
_cell_angle_beta 90.00
_cell_angle_gamma 120.00
_symmetry_space_group_name_H-M 'P 3 m 1'
_symmetry_Int_Tables_number 156
_symmetry_space_group_name_Hall 'P 3 -2"'
loop_
_atom_site_label
_atom_site_type_symbol
_atom_site_fract_x
_atom_site_fract_y
_atom_site_fract_z
_atom_site_occupancy
Sm1 Sm 0.0000 0.0000 0.0000 1
Ag1 Ag 0.1633 0.3266 0.6785 1
Ag2 Ag 0.3333 0.6667 0.4319 1
Ag3 Ag 0.3333 0.6667 0.9304 1
Ag4 Ag 0.5027 0.0055 0.1825 1
Sn1 Sn 0.0000 0.0000 0.3784 1
Sn2 Sn 0.6667 0.3333 0.4776 1
Sn3 Sn 0.6667 0.3333 0.8634 1
```

Principal peaks in the range 15 to 90 degrees two-theta, in order of rising 2θ:
two_theta  I (rel.)
31.41  31
34.78  64
37.27  100
37.80  79
39.72  18
41.68  15
58.11  27
59.82  25
63.64  29
65.55  27

=====

9.
Structure and calculated powder diffractogram of SmAg2Sn2 (the PBE geometry in Alexandria; Cu Kα, 1.54184 Å).
Kinematic intensities with the Lorentz-polarization factor, no thermal factor.

Structural model:
```
data_SmAg2Sn2
_chemical_formula_sum 'Sm4 Ag8 Sn8'
_cell_length_a 4.458
_cell_length_b 23.567
_cell_length_c 4.470
_cell_angle_alpha 90.00
_cell_angle_beta 90.00
_cell_angle_gamma 90.00
_symmetry_space_group_name_H-M 'C m c m'
_symmetry_Int_Tables_number 63
_symmetry_space_group_name_Hall '-C 2c 2'
loop_
_atom_site_label
_atom_site_type_symbol
_atom_site_fract_x
_atom_site_fract_y
_atom_site_fract_z
_atom_site_occupancy
Sm1 Sm 0.000 0.143 0.250 1
Ag1 Ag 0.000 0.040 0.750 1
Ag2 Ag 0.000 0.460 0.750 1
Sn1 Sn 0.000 0.249 0.750 1
Sn2 Sn 0.000 0.380 0.250 1
```

Principal peaks in the range 15 to 90 degrees two-theta, in order of rising 2θ:
two_theta  I (rel.)
30.52  7
34.19  100
38.19  9
39.12  9
40.35  20
40.47  20
56.81  12
58.48  13
69.43  13
69.59  13

=====

10.
Structure and calculated powder diffractogram of Sm5Ag2Sn2 (the PBE geometry in Alexandria; Cu Kα, 1.54184 Å).
Kinematic intensities with the Lorentz-polarization factor, no thermal factor.

Structural model:
```
data_Sm5Ag2Sn2
_chemical_formula_sum 'Sm20 Ag8 Sn8'
_cell_length_a 15.864
_cell_length_b 8.226
_cell_length_c 8.089
_cell_angle_alpha 90.00
_cell_angle_beta 90.00
_cell_angle_gamma 90.00
_symmetry_space_group_name_H-M 'C m c e'
_symmetry_Int_Tables_number 64
_symmetry_space_group_name_Hall '-C 2ac 2'
loop_
_atom_site_label
_atom_site_type_symbol
_atom_site_fract_x
_atom_site_fract_y
_atom_site_fract_z
_atom_site_occupancy
Sm1 Sm 0.000 0.000 0.000 1
Sm2 Sm 0.137 0.172 0.333 1
Ag1 Ag 0.000 0.125 0.627 1
Sn1 Sn 0.205 0.000 0.000 1
```

Principal peaks in the range 15 to 90 degrees two-theta, in order of rising 2θ:
two_theta  I (rel.)
29.86  100
31.01  48
31.33  49
31.60  42
32.20  30
33.28  82
35.01  60
35.49  56
45.51  32
63.48  32

=====

11.
Structure and calculated powder diffractogram of Sm3Ag2Sn4 (the PBE geometry in Alexandria; Cu Kα, 1.54184 Å).
Kinematic intensities with the Lorentz-polarization factor, no thermal factor.

Structural model:
```
data_Sm3Ag2Sn4
_chemical_formula_sum 'Sm6 Ag4 Sn8'
_cell_length_a 11.657
_cell_length_b 4.692
_cell_length_c 9.033
_cell_angle_alpha 90.00
_cell_angle_beta 109.08
_cell_angle_gamma 90.00
_symmetry_space_group_name_H-M 'C 1 2/m 1'
_symmetry_Int_Tables_number 12
_symmetry_space_group_name_Hall '-C 2y'
loop_
_atom_site_label
_atom_site_type_symbol
_atom_site_fract_x
_atom_site_fract_y
_atom_site_fract_z
_atom_site_occupancy
Sm1 Sm 0.000 0.000 0.000 1
Sm2 Sm 0.135 0.500 0.691 1
Ag1 Ag 0.191 0.500 0.371 1
Sn1 Sn 0.067 0.000 0.385 1
Sn2 Sn 0.202 0.500 0.067 1
```

Principal peaks in the range 15 to 90 degrees two-theta, in order of rising 2θ:
two_theta  I (rel.)
29.96  33
30.27  20
30.92  100
31.30  31
31.44  41
35.24  15
38.24  68
38.37  50
40.13  18
50.42  25